The following is a simulated powder diffractogram of Cs2PaOF5. It was derived from DFT lattice parameters and positions (PBE), using Cu Kα, 1.54184 Å.
No peak broadening, texture or thermal motion is included.

Lattice parameters (Å, degrees): 6.865 6.865 6.865 120.87 120.87 88.50
Atoms (fractional coordinates):
Cs: 0.000 0.500 0.500
Cs: 0.500 0.000 0.500
Pa: 0.252 0.252 0.000
O: 0.447 0.447 0.000
F: 0.010 0.010 0.543
F: 0.010 0.467 0.000
F: 0.031 0.031 0.000
F: 0.467 0.010 0.000
F: 0.467 0.467 0.457

Top 8 peaks for 2θ from 10° to 80°, by intensity:
d 3.431, 2θ 25.97, I 100.0
d 5.579, 2θ 15.89, I 92.2
d 3.387, 2θ 26.31, I 46.3
d 1.964, 2θ 46.22, I 42.1
d 2.395, 2θ 37.55, I 32.6
d 2.895, 2θ 30.88, I 31.4
d 1.716, 2θ 53.40, I 21.3
d 1.990, 2θ 45.59, I 20.2


The following is a simulated powder diffractogram of Cs2USe6. It was derived from DFT lattice parameters and positions (PBE), using Cu Kα, 1.54184 Å.
No peak broadening, texture or thermal motion is included.

Lattice parameters (Å, degrees): 4.100 8.088 10.201 66.93 79.11 89.96
Atoms (fractional coordinates):
Cs: 0.216 0.177 0.139
Cs: 0.784 0.823 0.861
U: 0.000 0.500 0.500
Se: 0.133 0.673 0.185
Se: 0.385 0.643 0.641
Se: 0.397 0.212 0.619
Se: 0.603 0.788 0.381
Se: 0.615 0.357 0.359
Se: 0.867 0.327 0.815

Top 8 peaks for 2θ from 10° to 80°, by intensity:
d 7.401, 2θ 11.96, I 100.0
d 2.840, 2θ 31.50, I 90.7
d 4.883, 2θ 18.17, I 67.8
d 2.848, 2θ 31.41, I 64.8
d 2.447, 2θ 36.73, I 36.4
d 2.755, 2θ 32.50, I 34.9
d 3.411, 2θ 26.12, I 34.2
d 2.435, 2θ 36.91, I 33.0